Diffraction record for KRb2Li2ReO6. The powder diffractogram is simulated, not measured: it uses a DFT-relaxed cell (PBE, OQMD) and λ = 1.5418 Å (Cu Kα).
Intensities are scaled so that the largest is 100.

Peak list (10 most intense, 2θ from 15° to 90°, in order of rising 2θ)
2θ (°), I (rel.)
15.02, 38
16.33, 31
17.74, 100
21.13, 33
26.95, 77
29.20, 36
29.93, 31
30.18, 58
34.59, 78
40.07, 27

a = 6.6977 Å, b = 6.6977 Å, c = 5.1860 Å
α = 97.22°, β = 97.22°, γ = 123.47°
Fractional positions:
K 0.0000 0.0000 0.0000
Rb 0.1804 0.8196 0.5000
Rb 0.8196 0.1804 0.5000
Li 0.4008 0.5992 0.0000
Li 0.5992 0.4008 0.0000
Re 0.5000 0.5000 0.5000
O 0.2224 0.4530 0.2717
O 0.3013 0.3013 0.7206
O 0.4530 0.2224 0.2717
O 0.5470 0.7776 0.7283
O 0.6987 0.6987 0.2794
O 0.7776 0.5470 0.7283